1.
# Li2CrNi
Calculated X-ray diffraction stick pattern, Cu Kα X-rays. Input: a GGA-PBE-relaxed structure.
Intensities are scaled so that the largest is 100.

Main lines, by angle (2θ from 10° to 80°):
d_spacing  Rel. int.
4.443  7
2.962  10
2.257  38
2.222  27
2.066  100
1.999  23
1.950  19
1.833  43
1.777  12
1.486  14
1.328  8
1.250  11

Structure:
Lattice parameters (Å, degrees): 2.8736 3.9976 8.8861 90.00 90.00 90.00
Space group Cmm2 (No. 35)
One atom of each set of equivalent atoms:
Li (0.0000, 0.0000, 0.0000) (multiplicity 2)
Li (0.0000, 0.5000, 0.2922) (multiplicity 2)
Cr (0.0000, 0.0000, 0.5489) (multiplicity 2)
Ni (0.0000, 0.5000, 0.7664) (multiplicity 2)

2.
# La2Ti3CuO10
Calculated X-ray diffraction stick pattern, Cu Kα X-rays. Input: a GGA-PBE-relaxed structure.
Intensities are scaled so that the largest is 100.

Main lines, by angle (2θ from 10° to 80°):
d_spacing  Rel. int.
3.810  25
3.120  100
2.722  34
2.706  64
2.667  23
2.219  26
2.107  25
1.925  50
1.720  25
1.638  29
1.568  25
1.454  24

Structure:
Lattice parameters (Å, degrees): 3.8496 3.8496 26.6307 90.00 90.00 90.00
Space group I-4m2 (No. 119)
One atom of each set of equivalent atoms:
La (0.0000, 0.0000, 0.0819) (multiplicity 4)
Ti (0.0000, 0.0000, 0.3399) (multiplicity 4)
Ti (0.0000, 0.0000, 0.5000) (multiplicity 2)
Cu (0.0000, 0.5000, 0.2500) (multiplicity 2)
O (0.0000, 0.0000, 0.2719) (multiplicity 4)
O (0.0000, 0.0000, 0.4267) (multiplicity 4)
O (0.0000, 0.5000, 0.0009) (multiplicity 4)
O (0.0000, 0.5000, 0.1451) (multiplicity 4)
O (0.0000, 0.5000, 0.6424) (multiplicity 4)

3.
# TiZn2B
Calculated X-ray diffraction stick pattern, Cu Kα X-rays. Input: a GGA-PBE-relaxed structure.
Intensities are scaled so that the largest is 100.

Main lines, by angle (2θ from 10° to 80°):
d_spacing  Rel. int.
4.681  32
3.357  4
2.994  6
2.522  4
2.338  100
1.909  37
1.706  4
1.603  34
1.522  2
1.479  15
1.379  4
1.206  6

Structure:
Lattice parameters (Å, degrees): 3.4125 3.4125 18.7236 90.00 90.00 90.00
Space group I-42d (No. 122)
One atom of each set of equivalent atoms:
Ti (0.0000, 0.0000, 0.0000) (multiplicity 4)
Zn (0.2405, 0.2500, 0.6250) (multiplicity 8)
B (0.0000, 0.0000, 0.5000) (multiplicity 4)

4.
# Fe8Os
Calculated X-ray diffraction stick pattern, Cu Kα X-rays. Input: a GGA-PBE-relaxed structure.
Intensities are scaled so that the largest is 100.

Main lines, by angle (2θ from 10° to 80°):
d_spacing  Rel. int.
5.336  19
3.773  9
3.231  13
2.668  5
2.454  13
2.386  6
2.057  100
1.806  5
1.788  16
1.779  31
1.261  18
1.258  9

Structure:
Lattice parameters (Å, degrees): 7.5463 7.5463 3.5752 90.00 90.00 90.00
Space group I4/mmm (No. 139)
One atom of each set of equivalent atoms:
Fe (0.0000, 0.3365, 0.0000) (multiplicity 8)
Fe (0.1688, 0.1688, 0.5000) (multiplicity 8)
Os (0.0000, 0.0000, 0.0000) (multiplicity 2)

5.
# K10Te4Cl
Calculated X-ray diffraction stick pattern, Cu Kα X-rays. Input: a GGA-PBE-relaxed structure.
Intensities are scaled so that the largest is 100.

Main lines, by angle (2θ from 10° to 80°):
d_spacing  Rel. int.
4.751  100
4.721  33
2.912  91
2.898  91
2.480  55
2.470  18
2.054  32
1.889  16
1.679  48
1.670  16
1.583  18
1.301  13

Structure:
Lattice parameters (Å, degrees): 5.8240 5.8240 70.8099 90.00 90.00 120.00
Space group R-3m (No. 166, hexagonal axes)
One atom of each set of equivalent atoms:
K (0.0000, 0.0000, 0.0494) (multiplicity 6)
K (0.0000, 0.0000, 0.1499) (multiplicity 6)
K (0.0000, 0.0000, 0.2504) (multiplicity 6)
K (0.0000, 0.0000, 0.3497) (multiplicity 6)
K (0.0000, 0.0000, 0.4499) (multiplicity 6)
Te (0.0000, 0.0000, 0.2002) (multiplicity 6)
Te (0.0000, 0.0000, 0.3993) (multiplicity 6)
Cl (0.0000, 0.0000, 0.0000) (multiplicity 3)

6.
# Ba6Al2Rh4O15
Calculated X-ray diffraction stick pattern, Cu Kα X-rays. Input: a GGA-PBE-relaxed structure.
Intensities are scaled so that the largest is 100.

Main lines, by angle (2θ from 10° to 80°):
d_spacing  Rel. int.
3.482  32
2.968  28
2.944  59
2.924  100
2.857  46
2.518  22
2.219  18
2.091  16
2.058  27
1.701  18
1.662  18
1.462  14

Structure:
Lattice parameters (Å, degrees): 14.5911 5.7141 10.2093 90.00 90.00 90.00
Space group Amm2 (No. 38)
One atom of each set of equivalent atoms:
Ba (0.0000, 0.0000, 0.0000) (multiplicity 2)
Ba (0.1575, 0.0000, 0.6621) (multiplicity 4)
Ba (0.3192, 0.0000, 0.3148) (multiplicity 4)
Ba (0.5000, 0.0000, 0.9945) (multiplicity 2)
Al (0.3849, 0.0000, 0.6439) (multiplicity 4)
Rh (0.0875, 0.0000, 0.3438) (multiplicity 4)
Rh (0.2526, 0.0000, 0.9852) (multiplicity 4)
O (0.0000, 0.2335, 0.2652) (multiplicity 4)
O (0.1636, 0.0000, 0.1314) (multiplicity 4)
O (0.1792, 0.2479, 0.8904) (multiplicity 8)
O (0.3352, 0.2468, 0.0756) (multiplicity 8)
O (0.3679, 0.0000, 0.8153) (multiplicity 4)
O (0.5000, 0.0000, 0.5898) (multiplicity 2)

7.
# Zr2Ga2Pd5
Calculated X-ray diffraction stick pattern, Cu Kα X-rays. Input: a GGA-PBE-relaxed structure.
Intensities are scaled so that the largest is 100.

Main lines, by angle (2θ from 10° to 80°):
d_spacing  Rel. int.
2.995  39
2.923  100
2.612  23
2.372  72
2.308  33
2.208  94
2.149  50
2.109  99
2.064  32
2.053  59
1.953  51
1.889  31

Structure:
Lattice parameters (Å, degrees): 15.1090 7.0619 6.0976 90.00 90.00 90.00
Space group Ima2 (No. 46)
One atom of each set of equivalent atoms:
Zr (0.1170, 0.0597, 0.0000) (multiplicity 8)
Ga (0.0000, 0.0000, 0.3748) (multiplicity 4)
Ga (0.2500, 0.5393, 0.1709) (multiplicity 4)
Pd (0.0088, 0.6903, 0.2029) (multiplicity 8)
Pd (0.1617, 0.6746, 0.8586) (multiplicity 8)
Pd (0.2500, 0.1983, 0.3338) (multiplicity 4)